Calculated PXRD pattern
Compound: ScC
Radiation: a wavelength of 1.5418 Å
Structure: a PBE-relaxed structure
No peak broadening, texture or thermal motion is included.

Cell and atoms:
Cell lengths 3.959, 3.959, 4.578 Å; angles 90.00, 90.00, 120.00 degrees
Element x y z (fractional)
Sc 0.333 0.667 0.250
Sc 0.667 0.333 0.750
C 0.333 0.667 0.750
C 0.667 0.333 0.250

Top 6 peaks for 15 to 90 degrees two-theta, most intense first:
h k l	Position (°2θ)	d [Å]	Rel. int.
1 0 1	32.63	2.744	100.0
1 0 0	25.99	3.428	86.6
1 1 0	45.84	1.979	61.2
1 1 2	61.98	1.497	43.7
0 0 2	39.36	2.289	33.6
1 0 2	47.78	1.904	26.6